Entry 1:
The following is a theoretical X-ray diffraction stick pattern of LaAlGa2Co. It was derived from a GGA-PBE-relaxed structure, using Cu Kα (weighted mean of Kα1 and Kα2).
Neutral-atom scattering factors, no anomalous dispersion.

Cell: 4.615 4.615 4.576 Å, 90.00 90.00 90.00°
Space group P4/mmm (No. 123)
Unique sites:
La1 0.000 0.000 0.000 x1
Al1 0.500 0.500 0.000 x1
Ga1 0.000 0.500 0.500 x2
Co1 0.500 0.500 0.500 x1

Most intense lines, 2θ from 5° to 70°, most intense first:
(1 1 1), 33.74°, intensity 100
(1 0 1), 27.45°, intensity 82
(2 0 0), 39.04°, intensity 75
(2 0 2), 56.66°, intensity 49
(0 0 2), 39.38°, intensity 37
(2 1 1), 48.38°, intensity 34
(3 1 1), 67.35°, intensity 27
(2 2 0), 56.40°, intensity 25
(1 1 3), 67.82°, intensity 13
(1 1 0), 27.33°, intensity 9
(3 0 1), 63.83°, intensity 9
(1 0 3), 64.32°, intensity 7

***

Entry 2:
The following is a theoretical X-ray diffraction stick pattern of Nb2AlGa2Co5. It was derived from a GGA-PBE-relaxed structure, using Cu Kα (weighted mean of Kα1 and Kα2).
Neutral-atom scattering factors, no anomalous dispersion.

Cell: 9.655 9.655 2.846 Å, 90.00 90.00 90.00°
Space group P4/mbm (No. 127)
Unique sites:
Nb1 0.173 0.327 0.000 x4
Al1 0.000 0.000 0.000 x2
Ga1 0.134 0.634 0.000 x4
Co1 0.000 0.500 0.500 x2
Co2 0.034 0.801 0.500 x8

Most intense lines, 2θ from 5° to 70°, most intense first:
(3 1 1), 43.47°, intensity 100
(3 3 0), 39.60°, intensity 73
(4 0 1), 49.52°, intensity 42
(4 1 0), 38.44°, intensity 41
(2 2 1), 41.30°, intensity 24
(3 2 1), 46.57°, intensity 24
(2 0 1), 36.66°, intensity 23
(1 1 0), 12.97°, intensity 20
(6 0 0), 57.25°, intensity 16
(0 0 2), 65.61°, intensity 15
(6 1 1), 67.58°, intensity 13
(4 4 0), 53.71°, intensity 11